For Ti4S5O, a crystal structure in Alexandria, relaxed with PBE gives the calculated PXRD pattern in this record (Cu Kα, 1.54184 Å).
Intensities are scaled so that the largest is 100.

The 10 most intense peaks (10° ≤ 2θ ≤ 90°), most intense first:
2θ/deg	intensity
37.94	100
37.39	45
13.45	37
54.05	27
54.60	26
12.27	20
68.42	18
55.03	15
54.45	14
41.37	13

Lattice parameters (Å, degrees): 7.5749 7.5749 6.7409 102.11 102.11 25.45
Atoms (fractional coordinates):
Ti 0.0015 0.0015 0.2749
Ti 0.3548 0.3548 0.4263
Ti 0.6452 0.6452 0.5737
Ti 0.9985 0.9985 0.7251
S 0.1628 0.1628 0.8318
S 0.1705 0.1705 0.3298
S 0.5000 0.5000 0.0000
S 0.8295 0.8295 0.6702
S 0.8372 0.8372 0.1682
O 0.5000 0.5000 0.5000